Starting from a structure optimized by DFT (GGA-PBE), the powder diffractogram of Pm2Pr5Ho4 was calculated for a wavelength of 1.5418 Å.
Lines closer than 0.1° are merged.

Structural model:
Lattice parameters (Å, degrees): 17.929 3.573 11.758 90.00 93.94 90.00
Space group C2/m (No. 12)
One atom of each set of equivalent atoms:
Pm (0.217, 0.000, 0.352) (multiplicity 4)
Pr (0.000, 0.000, 0.000) (multiplicity 2)
Pr (0.096, 0.500, 0.535) (multiplicity 4)
Pr (0.176, 0.500, 0.071) (multiplicity 4)
Ho (0.033, 0.500, 0.259) (multiplicity 4)
Ho (0.140, 0.000, 0.797) (multiplicity 4)

Largest 10 diffraction maxima, by angle, 10 to 80 degrees two-theta:
- d = 3.026 Å, intensity 24, (1 1 -2)
- d = 2.990 Å, intensity 21, (1 1 2)
- d = 2.938 Å, intensity 94, (6 0 -1)
- d = 2.846 Å, intensity 100, (2 0 -4)
- d = 2.757 Å, intensity 40, (3 1 -2)
- d = 2.678 Å, intensity 26, (3 1 2)
- d = 1.937 Å, intensity 16, (1 1 5)
- d = 1.678 Å, intensity 19, (8 0 -5)
- d = 1.526 Å, intensity 18, (6 2 -1)
- d = 1.513 Å, intensity 38, (2 2 -4)